[1]
# AcPm3Pu2Te6
Simulated XRD peak list, Cu Ka. Input: a DFT-relaxed cell (GGA-PBE, Alexandria).
No peak broadening, texture or thermal motion is included.

Principal peaks in the range 2θ from 10° to 80°, low angle first:
- 28.01°, d 3.185, I 100
- 39.90°, d 2.259, I 39
- 40.16°, d 2.245, I 38
- 49.24°, d 1.850, I 7
- 49.68°, d 1.835, I 20
- 57.90°, d 1.593, I 13
- 65.33°, d 1.428, I 12
- 65.39°, d 1.427, I 6
- 65.71°, d 1.421, I 17
- 72.29°, d 1.307, I 7
- 72.81°, d 1.299, I 13
- 72.98°, d 1.296, I 6

Crystal structure
a b c (Å): 7.778 13.472 7.845
angles (deg): 90.00 109.36 90.00
Space group C2/m (No. 12)
One atom of each set of equivalent atoms:
Ac1 0.000 0.000 0.000
Pm1 0.000 0.160 0.500
Pm2 0.000 0.500 0.500
Pu1 0.000 0.332 0.000
Te1 0.236 0.500 0.249
Te2 0.242 0.327 0.744

---

[2]
# RbAc3Pm2Te6
Simulated XRD peak list, Cu Ka. Input: a DFT-relaxed cell (GGA-PBE, Alexandria).
No peak broadening, texture or thermal motion is included.

Principal peaks in the range 2θ from 10° to 80°, low angle first:
- 26.85°, d 3.320, I 100
- 38.01°, d 2.367, I 13
- 38.19°, d 2.357, I 25
- 38.52°, d 2.337, I 26
- 38.64°, d 2.330, I 13
- 46.89°, d 1.938, I 6
- 47.44°, d 1.916, I 7
- 47.70°, d 1.907, I 14
- 55.34°, d 1.660, I 13
- 62.35°, d 1.489, I 10
- 62.81°, d 1.480, I 12
- 62.98°, d 1.476, I 6

Crystal structure
a b c (Å): 20.406 4.660 9.470
angles (deg): 90.00 102.74 90.00
Space group C2/m (No. 12)
One atom of each set of equivalent atoms:
Rb1 0.000 0.000 0.000
Ac1 0.000 0.000 0.500
Ac2 0.161 0.500 0.827
Pm1 0.172 0.500 0.350
Te1 0.009 0.500 0.263
Te2 0.168 0.000 0.578
Te3 0.173 0.000 0.100

---

Question: Number 2 is which compound?
Answer: RbAc3Pm2Te6

---

Question: Which formula does entry 2 have?
Answer: RbAc3Pm2Te6